Starting from a cell relaxed with PBE+U, the powder diffractogram of Ca4MgSi8Ni3O24 was computed for λ = 1.5418 Å (Cu Kα).
Peak positions follow from Bragg's law for the DFT cell and can differ from measured ones.

Most intense lines, 2θ = 5–70°, sorted by position:
Position (°2θ)	I_rel
13.57	22.8
29.54	100.0
29.96	38.1
34.66	35.7
35.23	42.6
35.39	44.9
41.91	25.4
56.05	17.6
61.09	17.1
64.96	19.1

```
Ca4MgSi8Ni3O24
1.0
4.938 -4.498 0.000
4.938 4.498 0.000
-2.955 0.000 10.190
Ca Mg Si Ni O
4 1 8 3 24
direct
0.000 0.000 0.000
0.594 0.404 0.751
0.596 0.406 0.249
0.999 0.001 0.500
0.388 0.612 0.500
0.103 0.324 0.760
0.104 0.323 0.260
0.490 0.083 0.490
0.491 0.083 0.989
0.676 0.897 0.240
0.677 0.896 0.740
0.917 0.509 0.011
0.917 0.510 0.510
0.205 0.795 0.250
0.205 0.795 0.750
0.388 0.612 0.000
0.093 0.675 0.553
0.094 0.675 0.054
0.186 0.091 0.214
0.186 0.092 0.715
0.268 0.500 0.804
0.269 0.499 0.304
0.325 0.906 0.946
0.325 0.907 0.447
0.408 0.315 0.035
0.410 0.316 0.535
0.500 0.732 0.196
0.501 0.731 0.696
0.630 0.071 0.373
0.630 0.071 0.873
0.665 0.036 0.623
0.665 0.037 0.123
0.684 0.590 0.465
0.685 0.592 0.965
0.908 0.814 0.285
0.909 0.814 0.786
0.929 0.370 0.127
0.929 0.370 0.627
0.963 0.335 0.877
0.964 0.335 0.377
```